For K4MoC4N4O2, a DFT-relaxed cell (GGA+U, Alexandria) gives the simulated PXRD pattern in this record (Cu Kα, 1.54184 Å).

Cell and atoms:
```
30
Lattice="6.3911 0.0000 0.0000 0.0000 13.7980 0.0000 -4.2019 0.0000 7.8474" Properties=species:S:1:pos:R:3 pbc="T T T"
K -1.1833 3.3721 3.8929
K -3.2842 3.5269 7.8166
K -0.0876 6.9811 2.0181
K -2.1885 13.7159 5.9418
K 4.3777 0.0821 1.9056
K 2.2768 6.8169 5.8293
K 5.4734 10.2711 0.0308
K 3.3725 10.4259 3.9545
Mo 1.0946 0.0000 3.9237
Mo 3.1956 6.8990 0.0000
C -2.0132 8.7523 7.1056
C 0.0877 11.9448 3.1819
C 1.3796 0.6428 1.8212
C -0.7213 6.2562 5.7449
C 2.9105 7.5418 2.1025
C 0.8096 13.1552 6.0262
C 2.1015 1.8533 4.6656
C 4.2024 5.0457 0.7418
N -2.5967 9.6820 6.6669
N -0.4957 11.0150 2.7432
N 1.6240 0.9497 0.7074
N -0.4769 5.9493 4.6311
N 2.6661 7.8487 3.2163
N 0.5652 12.8483 7.1400
N 2.6849 2.7830 5.1042
N 4.7859 4.1160 1.1805
O -0.5652 0.8625 3.9944
O 1.5357 6.0365 0.0707
O 0.6535 7.7615 7.7767
O 2.7544 12.9356 3.8530
```

Most intense lines, 10 to 90 degrees two-theta, sorted by position:
2theta  I (rel.)  (hkl)
12.83  63  0 2 0
12.98  100  0 1 1
20.35  45  1 2 0
24.31  48  1 2 -2
25.83  42  0 4 0
34.38  38  2 3 -1